This entry pairs a crystal structure of PaNbS2 with its calculated PXRD pattern. Radiation: Cu Kα X-rays. Structure: DFT lattice parameters and positions (GGA-PBE).
Kinematic intensities with the Lorentz-polarization factor, no thermal factor.

Top 10 peaks for 2θ from 10° to 80°, sorted by position:
(hkl), d [Å], Position (°2θ), intensity
1 1 -1, 3.997, 22.24, 41
1 1 1, 3.769, 23.61, 100
1 0 -2, 3.098, 28.82, 47
2 1 -1, 2.940, 30.40, 78
0 2 1, 2.884, 31.01, 49
1 2 -1, 2.718, 32.95, 47
1 1 2, 2.635, 34.03, 41
2 0 2, 2.328, 38.69, 43
0 2 2, 2.294, 39.27, 32
1 3 0, 2.053, 44.11, 43

Cell: 7.2882 6.4219 6.5862 Å, 90.00 95.33 90.00°
Fractional positions:
Pa 0.1934 0.0937 0.3086
Pa 0.1934 0.4063 0.8086
Pa 0.8066 0.5937 0.1914
Pa 0.8066 0.9063 0.6914
Nb 0.4219 0.7030 0.5006
Nb 0.4219 0.7970 0.0006
Nb 0.5781 0.2030 0.9994
Nb 0.5781 0.2970 0.4994
S 0.0787 0.7302 0.4920
S 0.0787 0.7698 0.9920
S 0.3880 0.0519 0.6980
S 0.3880 0.4481 0.1980
S 0.6120 0.5519 0.8020
S 0.6120 0.9481 0.3020
S 0.9213 0.2302 0.0080
S 0.9213 0.2698 0.5080